(1)
Starting from a DFT-relaxed cell (PBE, the Materials Project), the powder XRD pattern of K2TcF6 was simulated for Cu Kα X-rays.
No peak broadening, texture or thermal motion is included.

Top 12 peaks for 2θ from 10° to 80°, low angle first:
| Position (°2θ) | Rel. int. |
| --- | --- |
| 17.31 | 62 |
| 18.85 | 20 |
| 25.70 | 100 |
| 30.22 | 45 |
| 35.86 | 14 |
| 40.08 | 76 |
| 42.25 | 25 |
| 51.00 | 27 |
| 52.82 | 30 |
| 62.07 | 18 |
| 62.84 | 19 |
| 67.57 | 12 |

Structural model:
```
9
Lattice="5.915 0.000 0.000 -2.958 5.123 0.000 0.000 0.000 4.708" Properties=species:S:1:pos:R:3 pbc="T T T"
K 0.000 3.415 0.949
K 2.958 1.708 3.759
Tc 0.000 0.000 2.354
F 0.000 1.652 3.428
F -1.527 4.296 3.428
F 1.431 0.826 1.280
F 1.527 4.296 3.428
F 4.484 0.826 1.280
F 2.958 3.470 1.280
```

(2)
Starting from a DFT-relaxed cell (PBE, the Materials Project), the powder XRD pattern of KTe2F9 was simulated for Cu Kα X-rays.
No peak broadening, texture or thermal motion is included.

Top 12 peaks for 2θ from 10° to 80°, low angle first:
| Position (°2θ) | Rel. int. |
| --- | --- |
| 19.47 | 65 |
| 19.91 | 51 |
| 20.05 | 27 |
| 22.08 | 100 |
| 22.29 | 28 |
| 22.80 | 87 |
| 25.15 | 28 |
| 25.27 | 37 |
| 25.40 | 66 |
| 27.42 | 31 |
| 41.28 | 25 |
| 42.60 | 28 |

Structural model:
```
24
Lattice="4.945 0.000 0.000 -0.951 9.460 0.000 -1.013 -3.344 8.921" Properties=species:S:1:pos:R:3 pbc="T T T"
K 0.307 2.292 0.388
K 2.674 3.824 8.532
Te -0.407 1.568 6.040
Te 0.293 6.792 6.170
Te 2.688 -0.676 2.751
Te 3.388 4.549 2.881
F -0.435 2.924 3.074
F -0.162 4.994 1.654
F -1.008 6.227 7.587
F -0.235 5.460 4.171
F 0.214 -0.268 6.698
F 0.952 -0.931 3.709
F 0.336 2.415 7.668
F 0.799 8.033 1.261
F 1.931 1.028 2.352
F 1.050 5.089 6.568
F 2.182 -1.916 7.659
F 2.645 3.701 1.253
F 2.029 7.047 5.212
F 2.767 6.385 2.223
F 3.216 0.656 4.749
F 3.989 -0.111 1.333
F 3.143 1.122 7.267
F 3.416 3.193 5.847
```

(3)
Starting from a DFT-relaxed cell (PBE, the Materials Project), the powder XRD pattern of K2ThF6 was simulated for Cu Kα X-rays.
No peak broadening, texture or thermal motion is included.

Top 12 peaks for 2θ from 10° to 80°, low angle first:
| Position (°2θ) | Rel. int. |
| --- | --- |
| 14.31 | 81 |
| 16.45 | 20 |
| 18.87 | 44 |
| 25.18 | 35 |
| 25.70 | 100 |
| 25.88 | 16 |
| 29.36 | 22 |
| 41.68 | 16 |
| 42.23 | 29 |
| 42.87 | 30 |
| 49.92 | 21 |
| 50.23 | 15 |

Structural model:
```
18
Lattice="3.713 -6.399 0.000 3.713 6.399 0.000 -2.223 0.000 6.935" Properties=species:S:1:pos:R:3 pbc="T T T"
K 2.046 5.305 5.201
K 3.158 3.293 1.734
K 2.046 -3.293 5.201
K 3.158 -5.305 1.734
Th 2.046 1.079 5.201
Th 3.158 -1.079 1.734
F -0.082 0.977 4.407
F 0.995 2.903 6.052
F 1.030 -0.977 0.940
F 2.134 0.902 2.720
F 3.097 2.903 4.350
F 1.023 -0.902 6.188
F 4.181 0.902 0.747
F 2.107 -2.903 2.585
F 3.069 -0.902 4.215
F 4.174 0.977 5.996
F 4.209 -2.903 0.883
F 5.286 -0.977 2.528
```

(4)
Starting from a DFT-relaxed cell (PBE, the Materials Project), the powder XRD pattern of K7Th6F31 was simulated for Cu Kα X-rays.
No peak broadening, texture or thermal motion is included.

Top 12 peaks for 2θ from 10° to 80°, low angle first:
| Position (°2θ) | Rel. int. |
| --- | --- |
| 10.60 | 52 |
| 15.59 | 15 |
| 17.94 | 27 |
| 19.35 | 32 |
| 19.80 | 17 |
| 25.12 | 33 |
| 25.30 | 100 |
| 29.24 | 51 |
| 41.71 | 43 |
| 41.94 | 42 |
| 49.32 | 19 |
| 49.55 | 59 |

Structural model:
```
44
Lattice="7.767 4.484 3.545 -7.767 4.484 3.545 0.000 -8.968 3.545" Properties=species:S:1:pos:R:3 pbc="T T T"
K 0.000 0.000 0.000
K -1.134 -4.814 3.491
K -3.602 3.389 3.491
K -4.725 -1.436 7.140
K 4.736 1.425 3.491
K 3.606 -3.374 7.140
K 1.119 4.810 7.140
Th -2.554 -0.708 3.441
Th 1.890 -1.858 3.441
Th 0.664 2.566 3.441
Th -0.655 -2.493 7.176
Th -1.832 1.814 7.176
Th 2.486 0.679 7.176
F -4.108 0.780 2.760
F -4.645 -1.535 4.314
F -5.355 -3.752 5.895
F -5.924 2.759 4.731
F -0.421 -1.651 2.986
F 1.379 -3.948 2.760
F 0.573 -6.510 4.731
F -1.219 1.190 2.986
F -2.025 -2.153 5.283
F -2.881 0.667 5.341
F -0.988 -4.769 6.318
F 1.640 0.461 2.986
F -2.709 -3.157 7.865
F 0.863 -2.828 5.341
F -3.636 3.240 6.318
F 3.652 -3.255 4.314
F 0.000 0.000 5.592
F -0.852 2.830 5.283
F 2.729 3.168 2.760
F -1.724 -0.478 7.753
F 0.993 4.791 4.314
F 2.877 -0.677 5.283
F 2.018 2.162 5.341
F -0.571 6.513 5.895
F 1.276 -1.254 7.753
F -1.380 3.925 7.865
F 0.448 1.732 7.753
F 5.927 -2.762 5.895
F 5.351 3.751 4.731
F 4.624 1.529 6.318
F 4.089 -0.767 7.865
```

(5)
Starting from a DFT-relaxed cell (PBE, the Materials Project), the powder XRD pattern of K5ThF9 was simulated for Cu Kα X-rays.
No peak broadening, texture or thermal motion is included.

Top 12 peaks for 2θ from 10° to 80°, low angle first:
| Position (°2θ) | Rel. int. |
| --- | --- |
| 15.40 | 100 |
| 15.86 | 37 |
| 16.25 | 21 |
| 23.38 | 21 |
| 27.59 | 49 |
| 27.83 | 34 |
| 28.11 | 41 |
| 28.61 | 23 |
| 35.65 | 21 |
| 37.29 | 16 |
| 39.46 | 27 |
| 49.72 | 14 |

Structural model:
```
30
Lattice="3.965 -6.505 0.000 3.965 6.505 0.000 0.000 0.000 10.910" Properties=species:S:1:pos:R:3 pbc="T T T"
K 3.965 5.491 5.455
K 1.909 1.771 7.231
K 1.989 1.379 3.440
K 1.989 -1.379 8.895
K 1.909 -1.771 1.776
K 6.020 1.771 7.231
K 5.940 1.379 3.440
K 5.940 -1.379 8.895
K 6.020 -1.771 1.776
K 3.965 -5.491 0.000
Th 3.965 2.105 10.542
Th 3.965 -2.105 5.086
F 1.788 2.874 10.303
F 3.965 6.278 2.794
F 3.965 4.530 10.821
F 3.965 3.177 8.364
F 2.516 0.422 0.407
F 3.965 2.597 1.904
F 2.516 -0.422 5.862
F 1.788 -2.874 4.848
F 3.965 0.527 8.834
F 3.965 -0.527 3.379
F 6.141 2.874 10.303
F 5.414 0.422 0.407
F 3.965 -2.597 7.359
F 5.414 -0.422 5.862
F 3.965 -3.177 2.909
F 3.965 -4.530 5.365
F 3.965 -6.278 8.250
F 6.141 -2.874 4.848
```

(6)
Starting from a DFT-relaxed cell (PBE, the Materials Project), the powder XRD pattern of K2ThF6 was simulated for Cu Kα X-rays.
No peak broadening, texture or thermal motion is included.

Top 12 peaks for 2θ from 10° to 80°, low angle first:
| Position (°2θ) | Rel. int. |
| --- | --- |
| 15.31 | 100 |
| 26.69 | 46 |
| 27.79 | 67 |
| 30.91 | 13 |
| 35.55 | 15 |
| 38.91 | 41 |
| 41.29 | 12 |
| 47.12 | 27 |
| 47.81 | 46 |
| 54.97 | 19 |
| 62.71 | 15 |
| 75.79 | 15 |

Structural model:
```
9
Lattice="6.681 0.000 0.000 -3.340 5.786 0.000 0.000 0.000 3.858" Properties=species:S:1:pos:R:3 pbc="T T T"
K 0.000 3.857 0.000
K 3.340 1.929 0.000
Th 0.000 0.000 1.929
F -1.149 1.990 1.929
F -2.579 4.467 0.000
F 0.762 1.319 0.000
F 2.298 0.000 1.929
F 2.191 3.795 1.929
F 5.158 0.000 0.000
```

(7)
Starting from a DFT-relaxed cell (PBE, the Materials Project), the powder XRD pattern of K2ThF6 was simulated for Cu Kα X-rays.
No peak broadening, texture or thermal motion is included.

Top 12 peaks for 2θ from 10° to 80°, low angle first:
| Position (°2θ) | Rel. int. |
| --- | --- |
| 13.99 | 42 |
| 15.93 | 63 |
| 22.25 | 27 |
| 25.56 | 100 |
| 29.27 | 20 |
| 29.97 | 13 |
| 38.42 | 17 |
| 42.07 | 45 |
| 49.14 | 16 |
| 50.61 | 30 |
| 51.39 | 16 |
| 67.25 | 13 |

Structural model:
```
9
Lattice="-2.105 3.096 6.332 2.105 -3.096 6.332 2.105 3.096 -6.332" Properties=species:S:1:pos:R:3 pbc="T T T"
K 0.000 0.000 2.151
K 0.000 0.000 10.513
Th 0.000 0.000 6.332
F 2.105 1.697 -1.798
F 0.000 1.831 0.000
F 2.105 1.697 1.798
F 0.000 1.400 4.534
F 0.000 4.361 0.000
F 0.000 1.400 8.130
```

(8)
Starting from a DFT-relaxed cell (PBE, the Materials Project), the powder XRD pattern of K5Ti3F14 was simulated for Cu Kα X-rays.
No peak broadening, texture or thermal motion is included.

Top 12 peaks for 2θ from 10° to 80°, low angle first:
| Position (°2θ) | Rel. int. |
| --- | --- |
| 14.99 | 11 |
| 27.06 | 100 |
| 30.25 | 12 |
| 31.89 | 14 |
| 33.99 | 14 |
| 39.73 | 9 |
| 44.53 | 26 |
| 45.72 | 23 |
| 51.82 | 23 |
| 53.94 | 23 |
| 55.81 | 11 |
| 71.56 | 15 |

Structural model:
```
44
Lattice="7.937 0.000 0.000 0.000 7.937 0.000 0.000 0.000 11.820" Properties=species:S:1:pos:R:3 pbc="T T T"
K 0.000 0.000 0.000
K 1.824 2.145 2.955
K 1.824 2.145 8.865
K 2.145 6.113 2.955
K 2.145 6.113 8.865
K 3.969 3.969 5.910
K 5.793 1.824 2.955
K 5.793 1.824 8.865
K 6.113 5.793 2.955
K 6.113 5.793 8.865
Ti 0.000 0.000 5.910
Ti 0.000 3.969 0.000
Ti 0.000 3.969 5.910
Ti 3.969 0.000 0.000
Ti 3.969 0.000 5.910
Ti 3.969 3.969 0.000
F 0.000 0.000 3.925
F 0.000 0.000 7.895
F 0.204 5.393 1.348
F 0.204 5.393 10.471
F 0.320 1.981 5.910
F 1.425 4.173 4.561
F 1.425 4.173 7.258
F 1.988 3.649 0.000
F 1.981 7.618 5.910
F 2.544 0.204 1.348
F 2.544 0.204 10.471
F 3.649 5.950 0.000
F 3.764 1.425 4.561
F 3.764 1.425 7.258
F 3.969 3.969 1.985
F 3.969 3.969 9.835
F 4.173 6.513 4.561
F 4.173 6.513 7.258
F 4.288 1.988 0.000
F 5.393 7.733 1.348
F 5.393 7.733 10.471
F 5.956 0.320 5.910
F 5.950 4.288 0.000
F 6.513 3.764 4.561
F 6.513 3.764 7.258
F 7.618 5.956 5.910
F 7.733 2.544 1.348
F 7.733 2.544 10.471
```